1.
Computed powder diffractogram of BaSnSbIr2 for Cu Kα (weighted mean of Kα1 and Kα2), from the GGA-PBE geometry in OQMD.

Most intense lines, 10° ≤ 2θ ≤ 90°, in order of rising 2θ:
| 2θ (°) | I/Imax |
| --- | --- |
| 31.33 | 100 |
| 31.44 | 53 |
| 31.54 | 43 |
| 31.91 | 78 |
| 37.79 | 69 |
| 38.90 | 77 |
| 42.69 | 57 |
| 55.36 | 46 |

Cell and atoms:
```
data_BaSnSbIr2
_chemical_formula_sum 'Ba2 Sn2 Sb2 Ir4'
_symmetry_space_group_name_H-M 'P 1 21/m 1'
_symmetry_Int_Tables_number 11
_cell_length_a 4.763
_cell_length_b 4.630
_cell_length_c 10.827
_cell_angle_alpha 90.00
_cell_angle_beta 91.65
_cell_angle_gamma 90.00
loop_
_symmetry_equiv_pos_as_xyz
'x,y,z'
'-x,-y,-z'
'-x,y+1/2,-z'
'x,-y+1/2,z'
loop_
_atom_site_label
_atom_site_fract_x
_atom_site_fract_y
_atom_site_fract_z
Ba1 0.240 0.250 0.247
Sn1 0.248 0.750 0.498
Sb1 0.290 0.250 0.880
Ir1 0.192 0.750 0.995
Ir2 0.261 0.250 0.630
```

---

2.
Computed powder diffractogram of Ba2ScIr for Cu Kα (weighted mean of Kα1 and Kα2), from the GGA-PBE geometry in OQMD.

Most intense lines, 10° ≤ 2θ ≤ 90°, in order of rising 2θ:
| 2θ (°) | I/Imax |
| --- | --- |
| 20.14 | 10 |
| 23.29 | 10 |
| 33.18 | 100 |
| 39.12 | 6 |
| 47.62 | 18 |
| 59.27 | 37 |
| 69.64 | 12 |
| 79.34 | 16 |

Cell and atoms:
```
data_Ba2ScIr
_chemical_formula_sum 'Ba8 Sc4 Ir4'
_symmetry_space_group_name_H-M 'F -4 3 m'
_symmetry_Int_Tables_number 216
_symmetry_space_group_name_Hall 'F -4 2 3'
_cell_length_a 7.638
_cell_length_b 7.638
_cell_length_c 7.638
_cell_angle_alpha 90.00
_cell_angle_beta 90.00
_cell_angle_gamma 90.00
loop_
_atom_site_label
_atom_site_fract_x
_atom_site_fract_y
_atom_site_fract_z
Ba1 0.000 0.000 0.000
Ba2 0.250 0.250 0.250
Sc1 0.000 0.000 0.500
Ir1 0.250 0.250 0.750
```

---

3.
Computed powder diffractogram of BaSi2Ir for Cu Kα (weighted mean of Kα1 and Kα2), from the GGA-PBE geometry in OQMD.

Most intense lines, 10° ≤ 2θ ≤ 90°, in order of rising 2θ:
| 2θ (°) | I/Imax |
| --- | --- |
| 23.44 | 63 |
| 24.91 | 53 |
| 31.22 | 52 |
| 32.31 | 100 |
| 33.40 | 51 |
| 35.48 | 41 |
| 47.94 | 43 |
| 58.29 | 40 |

Cell and atoms:
```
data_BaSi2Ir
_chemical_formula_sum 'Ba12 Si24 Ir12'
_symmetry_space_group_name_H-M 'C 2 2 21'
_symmetry_Int_Tables_number 20
_cell_length_a 8.093
_cell_length_b 15.189
_cell_length_c 8.116
_cell_angle_alpha 90.00
_cell_angle_beta 90.00
_cell_angle_gamma 90.00
loop_
_symmetry_equiv_pos_as_xyz
'x,y,z'
'-x,-y,z+1/2'
'x,-y,-z'
'-x,y,-z+1/2'
'x+1/2,y+1/2,z'
'-x+1/2,-y+1/2,z+1/2'
'x+1/2,-y+1/2,-z'
'-x+1/2,y+1/2,-z+1/2'
loop_
_atom_site_label
_atom_site_fract_x
_atom_site_fract_y
_atom_site_fract_z
Ba1 0.000 0.129 0.250
Ba2 0.000 0.358 0.250
Ba3 0.238 0.500 0.000
Si1 0.103 0.383 0.640
Si2 0.104 0.102 0.852
Si3 0.165 0.271 0.914
Ir1 0.124 0.220 0.625
Ir2 0.235 0.500 0.500
```

---

4.
Computed powder diffractogram of BaSrSi2Ir2 for Cu Kα (weighted mean of Kα1 and Kα2), from the GGA-PBE geometry in OQMD.

Most intense lines, 10° ≤ 2θ ≤ 90°, in order of rising 2θ:
| 2θ (°) | I/Imax |
| --- | --- |
| 23.54 | 27 |
| 28.66 | 38 |
| 32.10 | 75 |
| 36.26 | 100 |
| 43.82 | 40 |
| 53.20 | 28 |
| 58.63 | 30 |
| 75.55 | 25 |

Cell and atoms:
```
data_BaSrSi2Ir2
_chemical_formula_sum 'Ba1 Sr1 Si2 Ir2'
_symmetry_space_group_name_H-M 'P 4 m m'
_symmetry_Int_Tables_number 99
_cell_length_a 4.132
_cell_length_b 4.132
_cell_length_c 9.345
_cell_angle_alpha 90.00
_cell_angle_beta 90.00
_cell_angle_gamma 90.00
loop_
_symmetry_equiv_pos_as_xyz
'x,y,z'
'-y,x,z'
'-x,-y,z'
'y,-x,z'
'-x,y,z'
'y,x,z'
'x,-y,z'
'-y,-x,z'
loop_
_atom_site_label
_atom_site_fract_x
_atom_site_fract_y
_atom_site_fract_z
Ba1 0.000 0.000 0.000
Sr1 0.500 0.500 0.401
Si1 0.000 0.000 0.553
Si2 0.500 0.500 0.819
Ir1 0.000 0.500 0.686
```

---

5.
Computed powder diffractogram of BaTe4Ir2 for Cu Kα (weighted mean of Kα1 and Kα2), from the GGA-PBE geometry in OQMD.

Most intense lines, 10° ≤ 2θ ≤ 90°, in order of rising 2θ:
| 2θ (°) | I/Imax |
| --- | --- |
| 14.11 | 100 |
| 27.24 | 91 |
| 28.44 | 65 |
| 37.07 | 91 |
| 43.24 | 27 |
| 44.95 | 68 |
| 45.71 | 32 |
| 51.91 | 29 |

Cell and atoms:
```
data_BaTe4Ir2
_chemical_formula_sum 'Ba4 Te16 Ir8'
_symmetry_space_group_name_H-M 'C c c m'
_symmetry_Int_Tables_number 66
_symmetry_space_group_name_Hall '-C 2 2c'
_cell_length_a 5.791
_cell_length_b 12.566
_cell_length_c 12.542
_cell_angle_alpha 90.00
_cell_angle_beta 90.00
_cell_angle_gamma 90.00
loop_
_atom_site_label
_atom_site_fract_x
_atom_site_fract_y
_atom_site_fract_z
Ba1 0.000 0.000 0.250
Te1 0.238 0.421 0.000
Te2 0.250 0.250 0.329
Ir1 0.000 0.247 0.000
```

---

6.
Computed powder diffractogram of BaZn3Ir for Cu Kα (weighted mean of Kα1 and Kα2), from the GGA-PBE geometry in OQMD.

Most intense lines, 10° ≤ 2θ ≤ 90°, in order of rising 2θ:
| 2θ (°) | I/Imax |
| --- | --- |
| 25.76 | 79 |
| 26.50 | 55 |
| 31.99 | 45 |
| 37.83 | 100 |
| 38.15 | 44 |
| 47.05 | 49 |
| 54.57 | 35 |
| 61.72 | 35 |

Cell and atoms:
```
data_BaZn3Ir
_chemical_formula_sum 'Ba2 Zn6 Ir2'
_symmetry_space_group_name_H-M 'P 4/n m m'
_symmetry_Int_Tables_number 129
_cell_length_a 6.727
_cell_length_b 6.727
_cell_length_c 5.038
_cell_angle_alpha 90.00
_cell_angle_beta 90.00
_cell_angle_gamma 90.00
loop_
_symmetry_equiv_pos_as_xyz
'x,y,z'
'-x,-y,-z'
'-y+1/2,x,z'
'y+1/2,-x,-z'
'-x+1/2,-y+1/2,z'
'x+1/2,y+1/2,-z'
'y,-x+1/2,z'
'-y,x+1/2,-z'
'x+1/2,-y,-z'
'-x+1/2,y,z'
'-y,-x,-z'
'y,x,z'
'-x,y+1/2,-z'
'x,-y+1/2,z'
'y+1/2,x+1/2,-z'
'-y+1/2,-x+1/2,z'
loop_
_atom_site_label
_atom_site_fract_x
_atom_site_fract_y
_atom_site_fract_z
Ba1 0.250 0.750 0.000
Zn1 0.000 0.000 0.500
Zn2 0.250 0.250 0.138
Ir1 0.250 0.250 0.642
```

---

7.
Computed powder diffractogram of KBa2Nb5O15 for Cu Kα (weighted mean of Kα1 and Kα2), from the GGA-PBE geometry in OQMD.

Most intense lines, 10° ≤ 2θ ≤ 90°, in order of rising 2θ:
| 2θ (°) | I/Imax |
| --- | --- |
| 25.51 | 35 |
| 27.14 | 99 |
| 29.25 | 100 |
| 31.53 | 95 |
| 31.79 | 29 |
| 44.80 | 43 |
| 51.32 | 28 |
| 54.40 | 35 |

Cell and atoms:
```
data_KBa2Nb5O15
_chemical_formula_sum 'K2 Ba4 Nb10 O30'
_symmetry_space_group_name_H-M 'P 4 b m'
_symmetry_Int_Tables_number 100
_cell_length_a 12.589
_cell_length_b 12.589
_cell_length_c 4.046
_cell_angle_alpha 90.00
_cell_angle_beta 90.00
_cell_angle_gamma 90.00
loop_
_symmetry_equiv_pos_as_xyz
'x,y,z'
'-y,x,z'
'-x,-y,z'
'y,-x,z'
'-x+1/2,y+1/2,z'
'y+1/2,x+1/2,z'
'x+1/2,-y+1/2,z'
'-y+1/2,-x+1/2,z'
loop_
_atom_site_label
_atom_site_fract_x
_atom_site_fract_y
_atom_site_fract_z
K1 0.000 0.000 0.000
Ba1 0.171 0.329 0.005
Nb1 0.000 0.500 0.521
Nb2 0.076 0.790 0.518
O1 0.000 0.500 0.981
O2 0.007 0.343 0.469
O3 0.069 0.142 0.473
O4 0.079 0.791 0.979
O5 0.220 0.720 0.478
```

---

8.
Computed powder diffractogram of KBaTl4Pd2 for Cu Kα (weighted mean of Kα1 and Kα2), from the GGA-PBE geometry in OQMD.

Most intense lines, 10° ≤ 2θ ≤ 90°, in order of rising 2θ:
| 2θ (°) | I/Imax |
| --- | --- |
| 15.32 | 42 |
| 29.72 | 100 |
| 30.27 | 75 |
| 32.10 | 43 |
| 35.38 | 43 |
| 37.12 | 74 |
| 38.22 | 75 |
| 39.25 | 51 |

Cell and atoms:
```
data_KBaTl4Pd2
_chemical_formula_sum 'K2 Ba2 Tl8 Pd4'
_symmetry_space_group_name_H-M 'A m m 2'
_symmetry_Int_Tables_number 38
_cell_length_a 8.470
_cell_length_b 4.591
_cell_length_c 11.567
_cell_angle_alpha 90.00
_cell_angle_beta 90.00
_cell_angle_gamma 90.00
loop_
_symmetry_equiv_pos_as_xyz
'x,y,z'
'-x,-y,z'
'-x,y,z'
'x,-y,z'
'x,y+1/2,z+1/2'
'-x,-y+1/2,z+1/2'
'-x,y+1/2,z+1/2'
'x,-y+1/2,z+1/2'
loop_
_atom_site_label
_atom_site_fract_x
_atom_site_fract_y
_atom_site_fract_z
K1 0.000 0.000 0.000
Ba1 0.500 0.000 0.877
Tl1 0.192 0.000 0.286
Tl2 0.297 0.000 0.588
Pd1 0.000 0.000 0.721
Pd2 0.500 0.000 0.159
```

---

9.
Computed powder diffractogram of BaLa3Os for Cu Kα (weighted mean of Kα1 and Kα2), from the GGA-PBE geometry in OQMD.

Most intense lines, 10° ≤ 2θ ≤ 90°, in order of rising 2θ:
| 2θ (°) | I/Imax |
| --- | --- |
| 10.45 | 45 |
| 12.43 | 29 |
| 16.27 | 27 |
| 28.24 | 100 |
| 28.72 | 45 |
| 37.50 | 42 |
| 37.87 | 25 |
| 43.72 | 41 |

Cell and atoms:
```
data_BaLa3Os
_chemical_formula_sum 'Ba2 La6 Os2'
_symmetry_space_group_name_H-M 'P m m a'
_symmetry_Int_Tables_number 51
_cell_length_a 6.379
_cell_length_b 8.465
_cell_length_c 7.120
_cell_angle_alpha 90.00
_cell_angle_beta 90.00
_cell_angle_gamma 90.00
loop_
_symmetry_equiv_pos_as_xyz
'x,y,z'
'-x,-y,-z'
'-x+1/2,-y,z'
'x+1/2,y,-z'
'x+1/2,-y,-z'
'-x+1/2,y,z'
'-x,y,-z'
'x,-y,z'
loop_
_atom_site_label
_atom_site_fract_x
_atom_site_fract_y
_atom_site_fract_z
Ba1 0.250 0.000 0.181
La1 0.250 0.259 0.667
La2 0.250 0.500 0.166
Os1 0.000 0.500 0.500
```

---

10.
Computed powder diffractogram of Ba2LiPtN2 for Cu Kα (weighted mean of Kα1 and Kα2), from the GGA-PBE geometry in OQMD.

Most intense lines, 10° ≤ 2θ ≤ 90°, in order of rising 2θ:
| 2θ (°) | I/Imax |
| --- | --- |
| 11.09 | 82 |
| 24.11 | 44 |
| 31.05 | 100 |
| 31.64 | 84 |
| 32.30 | 90 |
| 55.17 | 39 |
| 56.46 | 33 |
| 57.55 | 35 |

Cell and atoms:
```
data_Ba2LiPtN2
_chemical_formula_sum 'Ba2 Li1 Pt1 N2'
_symmetry_space_group_name_H-M 'P m m m'
_symmetry_Int_Tables_number 47
_cell_length_a 3.853
_cell_length_b 4.165
_cell_length_c 7.977
_cell_angle_alpha 90.00
_cell_angle_beta 90.00
_cell_angle_gamma 90.00
loop_
_symmetry_equiv_pos_as_xyz
'x,y,z'
'-x,-y,-z'
'-x,-y,z'
'x,y,-z'
'x,-y,-z'
'-x,y,z'
'-x,y,-z'
'x,-y,z'
loop_
_atom_site_label
_atom_site_fract_x
_atom_site_fract_y
_atom_site_fract_z
Ba1 0.000 0.000 0.247
Li1 0.500 0.500 0.000
Pt1 0.500 0.500 0.500
N1 0.000 0.500 0.500
N2 0.500 0.000 0.000
```

---

11.
Computed powder diffractogram of Ba4LiW2N7 for Cu Kα (weighted mean of Kα1 and Kα2), from the GGA-PBE geometry in OQMD.

Most intense lines, 10° ≤ 2θ ≤ 90°, in order of rising 2θ:
| 2θ (°) | I/Imax |
| --- | --- |
| 19.06 | 16 |
| 26.55 | 24 |
| 27.49 | 21 |
| 29.14 | 12 |
| 29.38 | 100 |
| 31.61 | 16 |
| 32.14 | 11 |
| 38.60 | 11 |

Cell and atoms:
```
data_Ba4LiW2N7
_chemical_formula_sum 'Ba16 Li4 W8 N28'
_symmetry_space_group_name_H-M 'P 1 2/c 1'
_symmetry_Int_Tables_number 13
_cell_length_a 10.466
_cell_length_b 6.487
_cell_length_c 17.358
_cell_angle_alpha 90.00
_cell_angle_beta 117.35
_cell_angle_gamma 90.00
loop_
_symmetry_equiv_pos_as_xyz
'x,y,z'
'-x,-y,-z'
'-x,y,-z+1/2'
'x,-y,z+1/2'
loop_
_atom_site_label
_atom_site_fract_x
_atom_site_fract_y
_atom_site_fract_z
Ba1 0.000 0.011 0.250
Ba2 0.196 0.148 0.621
Ba3 0.241 0.279 0.984
Ba4 0.346 0.228 0.425
Ba5 0.500 0.307 0.250
Li1 0.136 0.462 0.761
W1 0.019 0.330 0.098
W2 0.453 0.228 0.846
N1 0.000 0.500 0.000
N2 0.069 0.473 0.347
N3 0.075 0.075 0.434
N4 0.210 0.280 0.176
N5 0.255 0.185 0.807
N6 0.443 0.011 0.583
N7 0.480 0.471 0.590
N8 0.500 0.242 0.750
```